Pb2ClO2: calculated XRD peak list (copper Kα), based on a GGA-PBE-relaxed structure.
Lines closer than 0.1° are merged.

Principal peaks in the range 2θ from 15° to 90°, by angle:
2θ/deg  I/Imax
23.24  38
30.58  100
31.56  41
45.23  21
53.73  21
55.58  38

Structural model:
```
5
Lattice="-2.005 2.005 6.408 2.005 -2.005 6.408 2.005 2.005 -6.408" Properties=species:S:1:pos:R:3 pbc="T T T"
Pb 0.000 0.000 1.983
Pb 0.000 0.000 10.833
Cl 0.000 0.000 6.408
O 2.005 0.000 3.204
O 0.000 2.005 3.204
```